(1)
Simulated powder X-ray diffraction pattern of AuC4N4O2 for Cu Ka, from the PBE geometry in the Materials Project.
Intensities are scaled so that the largest is 100.

Cell and atoms:
abc: 6.699 8.960 6.821
angles: 90.00 104.10 90.00
Atoms (fractional coordinates):
1 Au 0.000 0.000 0.000
2 Au 0.000 0.500 0.500
3 C 0.113 0.084 0.776
4 C 0.113 0.416 0.276
5 C 0.235 0.647 0.559
6 C 0.235 0.853 0.059
7 C 0.765 0.147 0.941
8 C 0.765 0.353 0.441
9 C 0.887 0.584 0.724
10 C 0.887 0.916 0.224
11 N 0.176 0.135 0.646
12 N 0.176 0.365 0.146
13 N 0.370 0.732 0.593
14 N 0.370 0.768 0.093
15 N 0.630 0.232 0.907
16 N 0.630 0.268 0.407
17 N 0.824 0.635 0.854
18 N 0.824 0.865 0.354
19 O 0.452 0.055 0.476
20 O 0.452 0.445 0.976
21 O 0.548 0.555 0.024
22 O 0.548 0.945 0.524

Top 10 peaks for 10 to 90 degrees two-theta, low angle first:
Position (°2θ), Rel. int.
13.63, 79
16.66, 96
19.38, 100
19.82, 43
23.59, 90
24.13, 55
33.66, 37
34.09, 32
34.42, 30
41.11, 37



(2)
Simulated powder X-ray diffraction pattern of AuC4N4O2 for Cu Ka, from the PBE geometry in the Materials Project.
Intensities are scaled so that the largest is 100.

Cell and atoms:
abc: 6.525 8.406 7.402
angles: 90.00 91.16 90.00
Atoms (fractional coordinates):
1 Au 0.000 0.000 0.000
2 Au 0.000 0.500 0.500
3 C 0.131 0.078 0.774
4 C 0.131 0.422 0.274
5 C 0.234 0.652 0.542
6 C 0.234 0.848 0.042
7 C 0.766 0.152 0.958
8 C 0.766 0.348 0.458
9 C 0.869 0.578 0.726
10 C 0.869 0.922 0.226
11 N 0.205 0.134 0.646
12 N 0.205 0.366 0.146
13 N 0.368 0.741 0.566
14 N 0.368 0.759 0.066
15 N 0.632 0.241 0.934
16 N 0.632 0.259 0.434
17 N 0.795 0.634 0.854
18 N 0.795 0.866 0.354
19 O 0.403 0.066 0.415
20 O 0.403 0.434 0.915
21 O 0.597 0.566 0.085
22 O 0.597 0.934 0.585

Top 10 peaks for 10 to 90 degrees two-theta, low angle first:
Position (°2θ), Rel. int.
13.57, 54
15.96, 76
20.85, 56
21.16, 100
24.05, 25
25.21, 37
32.03, 25
34.82, 20
35.32, 19
37.08, 18



(3)
Simulated powder X-ray diffraction pattern of RbAuC2N2 for Cu Ka, from the PBE geometry in the Materials Project.
Intensities are scaled so that the largest is 100.

Cell and atoms:
abc: 10.370 10.370 13.883
angles: 104.86 104.86 53.49
Atoms (fractional coordinates):
1 Rb 0.016 0.489 0.816
2 Rb 0.078 0.272 0.483
3 Rb 0.272 0.078 0.983
4 Rb 0.489 0.016 0.316
5 Rb 0.511 0.984 0.684
6 Rb 0.728 0.922 0.017
7 Rb 0.922 0.728 0.517
8 Rb 0.984 0.511 0.184
9 Au 0.013 0.987 0.750
10 Au 0.332 0.635 0.423
11 Au 0.365 0.668 0.077
12 Au 0.400 0.600 0.750
13 Au 0.600 0.400 0.250
14 Au 0.635 0.332 0.923
15 Au 0.668 0.365 0.577
16 Au 0.987 0.013 0.250
17 C 0.084 0.101 0.205
18 C 0.101 0.084 0.705
19 C 0.186 0.639 0.058
20 C 0.275 0.477 0.405
21 C 0.281 0.497 0.688
22 C 0.361 0.814 0.442
23 C 0.477 0.275 0.905
24 C 0.497 0.281 0.188
25 C 0.503 0.719 0.812
26 C 0.523 0.725 0.095
27 C 0.639 0.186 0.558
28 C 0.719 0.503 0.312
29 C 0.725 0.523 0.595
30 C 0.814 0.361 0.942
31 C 0.899 0.916 0.295
32 C 0.916 0.899 0.795
33 N 0.073 0.633 0.047
34 N 0.146 0.149 0.179
35 N 0.149 0.146 0.679
36 N 0.202 0.445 0.650
37 N 0.230 0.393 0.394
38 N 0.367 0.927 0.453
39 N 0.393 0.230 0.894
40 N 0.445 0.202 0.150
41 N 0.555 0.798 0.850
42 N 0.607 0.770 0.106
43 N 0.633 0.073 0.547
44 N 0.770 0.607 0.606
45 N 0.798 0.555 0.350
46 N 0.851 0.854 0.321
47 N 0.854 0.851 0.821
48 N 0.927 0.367 0.953

Top 10 peaks for 10 to 90 degrees two-theta, low angle first:
Position (°2θ), Rel. int.
20.02, 87
23.37, 99
23.80, 43
24.02, 100
26.88, 56
27.48, 64
27.76, 60
29.14, 59
30.25, 49
38.96, 43



(4)
Simulated powder X-ray diffraction pattern of RbAuC2S2N2 for Cu Ka, from the PBE geometry in the Materials Project.
Intensities are scaled so that the largest is 100.

Cell and atoms:
abc: 7.409 7.409 18.052
angles: 106.78 106.78 50.39
Atoms (fractional coordinates):
1 Rb 0.162 0.191 0.061
2 Rb 0.191 0.162 0.561
3 Rb 0.809 0.838 0.439
4 Rb 0.838 0.809 0.939
5 Au 0.166 0.834 0.750
6 Au 0.336 0.664 0.250
7 Au 0.664 0.336 0.750
8 Au 0.834 0.166 0.250
9 C 0.173 0.283 0.356
10 C 0.283 0.173 0.856
11 C 0.415 0.545 0.587
12 C 0.455 0.585 0.913
13 C 0.545 0.415 0.087
14 C 0.585 0.455 0.413
15 C 0.717 0.827 0.144
16 C 0.827 0.717 0.644
17 S 0.005 0.361 0.271
18 S 0.292 0.664 0.115
19 S 0.336 0.708 0.385
20 S 0.361 0.005 0.771
21 S 0.639 0.995 0.229
22 S 0.664 0.292 0.615
23 S 0.708 0.336 0.885
24 S 0.995 0.639 0.729
25 N 0.240 0.286 0.919
26 N 0.240 0.720 0.564
27 N 0.280 0.760 0.936
28 N 0.286 0.240 0.419
29 N 0.714 0.760 0.581
30 N 0.720 0.240 0.064
31 N 0.760 0.280 0.436
32 N 0.760 0.714 0.081

Top 10 peaks for 10 to 90 degrees two-theta, low angle first:
Position (°2θ), Rel. int.
10.34, 100
13.94, 64
14.47, 73
19.89, 60
20.77, 32
21.01, 57
26.63, 43
28.09, 32
28.78, 50
31.36, 61



(5)
Simulated powder X-ray diffraction pattern of RbAuC2 for Cu Ka, from the PBE geometry in the Materials Project.
Intensities are scaled so that the largest is 100.

Cell and atoms:
abc: 4.581 4.581 5.242
angles: 90.00 90.00 90.00
Atoms (fractional coordinates):
1 Rb 0.000 0.000 0.000
2 Au 0.500 0.500 0.500
3 C 0.500 0.500 0.119
4 C 0.500 0.500 0.881

Top 10 peaks for 10 to 90 degrees two-theta, low angle first:
Position (°2θ), Rel. int.
19.38, 25
25.83, 100
27.54, 57
34.21, 14
39.34, 22
44.47, 27
47.66, 40
53.10, 16
56.36, 14
70.89, 14



(6)
Simulated powder X-ray diffraction pattern of Ca3Au4 for Cu Ka, from the PBE geometry in the Materials Project.
Intensities are scaled so that the largest is 100.

Cell and atoms:
abc: 8.289 8.289 8.289
angles: 114.41 114.41 114.41
Atoms (fractional coordinates):
1 Ca 0.026 0.281 0.400
2 Ca 0.281 0.400 0.026
3 Ca 0.400 0.026 0.281
4 Ca 0.600 0.974 0.719
5 Ca 0.719 0.600 0.974
6 Ca 0.974 0.719 0.600
7 Au 0.000 0.000 0.000
8 Au 0.056 0.555 0.222
9 Au 0.222 0.056 0.555
10 Au 0.445 0.778 0.944
11 Au 0.500 0.500 0.500
12 Au 0.555 0.222 0.056
13 Au 0.778 0.944 0.445
14 Au 0.944 0.445 0.778

Top 10 peaks for 10 to 90 degrees two-theta, low angle first:
Position (°2θ), Rel. int.
20.92, 22
22.10, 36
24.55, 76
33.46, 23
34.04, 100
35.74, 33
35.92, 89
40.46, 34
47.02, 24
50.33, 23



(7)
Simulated powder X-ray diffraction pattern of Ca5Au3 for Cu Ka, from the PBE geometry in the Materials Project.
Intensities are scaled so that the largest is 100.

Cell and atoms:
abc: 9.201 9.201 9.201
angles: 129.27 129.27 74.57
Atoms (fractional coordinates):
1 Ca 0.000 0.000 0.000
2 Ca 0.025 0.525 0.839
3 Ca 0.187 0.025 0.500
4 Ca 0.313 0.813 0.839
5 Ca 0.475 0.313 0.500
6 Ca 0.500 0.500 0.000
7 Ca 0.525 0.687 0.500
8 Ca 0.687 0.187 0.161
9 Ca 0.813 0.975 0.500
10 Ca 0.975 0.475 0.161
11 Au 0.130 0.370 0.500
12 Au 0.250 0.250 0.000
13 Au 0.370 0.870 0.240
14 Au 0.630 0.130 0.760
15 Au 0.750 0.750 0.000
16 Au 0.870 0.630 0.500

Top 10 peaks for 10 to 90 degrees two-theta, low angle first:
Position (°2θ), Rel. int.
12.09, 27
20.02, 97
24.32, 33
26.00, 42
31.30, 100
33.41, 22
36.03, 60
40.03, 31
43.95, 35
47.80, 28



(8)
Simulated powder X-ray diffraction pattern of Ca5Au4 for Cu Ka, from the PBE geometry in the Materials Project.
Intensities are scaled so that the largest is 100.

Cell and atoms:
abc: 8.099 8.132 7.805
angles: 90.00 109.24 90.00
Atoms (fractional coordinates):
1 Ca 0.000 0.000 0.000
2 Ca 0.000 0.500 0.500
3 Ca 0.256 0.170 0.752
4 Ca 0.256 0.330 0.252
5 Ca 0.308 0.679 0.931
6 Ca 0.308 0.821 0.431
7 Ca 0.692 0.179 0.569
8 Ca 0.692 0.321 0.069
9 Ca 0.744 0.670 0.748
10 Ca 0.744 0.830 0.248
11 Au 0.012 0.632 0.130
12 Au 0.012 0.868 0.630
13 Au 0.417 0.033 0.144
14 Au 0.417 0.467 0.644
15 Au 0.583 0.533 0.356
16 Au 0.583 0.967 0.856
17 Au 0.988 0.132 0.370
18 Au 0.988 0.368 0.870

Top 10 peaks for 10 to 90 degrees two-theta, low angle first:
Position (°2θ), Rel. int.
17.50, 44
22.20, 100
23.27, 53
24.80, 32
24.99, 70
31.49, 60
32.17, 70
35.28, 46
36.25, 73
46.33, 31



(9)
Simulated powder X-ray diffraction pattern of CaAu for Cu Ka, from the PBE geometry in the Materials Project.
Intensities are scaled so that the largest is 100.

Cell and atoms:
abc: 5.894 5.894 4.667
angles: 90.00 90.00 140.11
Atoms (fractional coordinates):
1 Ca 0.139 0.861 0.750
2 Ca 0.861 0.139 0.250
3 Au 0.419 0.581 0.750
4 Au 0.581 0.419 0.250

Top 10 peaks for 10 to 90 degrees two-theta, low angle first:
Position (°2θ), Rel. int.
16.00, 40
23.53, 75
24.94, 49
30.43, 64
37.76, 40
38.30, 100
38.58, 30
45.09, 19
45.69, 28
60.23, 21



(10)
Simulated powder X-ray diffraction pattern of Ca4Cd3Au5 for Cu Ka, from the PBE geometry in the Materials Project.
Intensities are scaled so that the largest is 100.

Cell and atoms:
abc: 7.422 4.382 8.835
angles: 90.00 90.17 90.00
Atoms (fractional coordinates):
1 Ca 0.000 0.000 0.000
2 Ca 0.078 0.500 0.375
3 Ca 0.484 0.000 0.867
4 Ca 0.572 0.500 0.512
5 Cd 0.394 0.000 0.250
6 Cd 0.679 0.500 0.128
7 Cd 0.898 0.000 0.630
8 Au 0.181 0.500 0.752
9 Au 0.285 0.000 0.558
10 Au 0.285 0.500 0.065
11 Au 0.785 0.000 0.318
12 Au 0.785 0.500 0.817

Top 10 peaks for 10 to 90 degrees two-theta, low angle first:
Position (°2θ), Rel. int.
15.59, 34
22.65, 87
23.44, 44
23.98, 57
31.59, 38
33.22, 100
36.77, 77
38.79, 76
41.20, 55
43.22, 45



(11)
Simulated powder X-ray diffraction pattern of CaCd2Au4 for Cu Ka, from the PBE geometry in the Materials Project.
Intensities are scaled so that the largest is 100.

Cell and atoms:
abc: 5.845 5.845 5.845
angles: 103.32 103.32 122.63
Atoms (fractional coordinates):
1 Ca 0.000 0.000 0.000
2 Cd 0.250 0.750 0.500
3 Cd 0.750 0.250 0.500
4 Au 0.304 0.304 0.607
5 Au 0.304 0.696 0.000
6 Au 0.696 0.304 0.000
7 Au 0.696 0.696 0.393

Top 10 peaks for 10 to 90 degrees two-theta, low angle first:
Position (°2θ), Rel. int.
20.01, 24
24.55, 18
31.88, 35
35.00, 37
39.29, 16
40.65, 100
48.06, 30
63.76, 16
66.62, 23
72.15, 16